1.
Starting from the GGA-PBE geometry in Alexandria, the powder X-ray diffraction pattern of TbPm2Ho5In was calculated for Cu Kα (λ = 1.5418 Å).
Kinematic intensities with the Lorentz-polarization factor, no thermal factor.

Cell and atoms:
abc: 10.4257 10.4257 10.5153
angles: 90.00 90.00 150.20
Element x y z (fractional)
Tb (0.2080, 0.7920, 0.7500)
Tb (0.7920, 0.2080, 0.2500)
Pm (0.1164, 0.8836, 0.0413)
Pm (0.1164, 0.8836, 0.4587)
Pm (0.8836, 0.1164, 0.5413)
Pm (0.8836, 0.1164, 0.9587)
Ho (0.0118, 0.9882, 0.7500)
Ho (0.2895, 0.7105, 0.0514)
Ho (0.2895, 0.7105, 0.4486)
Ho (0.3845, 0.6155, 0.7500)
Ho (0.5000, 0.5000, 0.0000)
Ho (0.5000, 0.5000, 0.5000)
Ho (0.6155, 0.3845, 0.2500)
Ho (0.7105, 0.2895, 0.5514)
Ho (0.7105, 0.2895, 0.9486)
Ho (0.9882, 0.0118, 0.2500)
In (0.4047, 0.5953, 0.2500)
In (0.5953, 0.4047, 0.7500)

Top 12 peaks for 2θ = 10–80°, by angle:
2θ (°), I (rel.)
27.21, 10.1
27.89, 13.3
30.80, 29.7
32.60, 100.0
33.42, 31.8
34.11, 15.6
44.07, 8.0
48.50, 11.6
51.25, 8.4
59.22, 18.1
59.49, 9.3
62.58, 9.4

---

2.
Starting from the GGA-PBE geometry in Alexandria, the powder X-ray diffraction pattern of Tb3Pm6Ho2In was calculated for Cu Kα (λ = 1.5418 Å).
Kinematic intensities with the Lorentz-polarization factor, no thermal factor.

Cell and atoms:
abc: 6.1951 6.1951 11.7705
angles: 95.09 95.09 120.14
Element x y z (fractional)
Tb (0.0000, 0.0000, 0.0000)
Tb (0.3322, 0.6678, 0.0000)
Tb (0.6678, 0.3322, 0.0000)
Pm (0.0911, 0.4186, 0.2536)
Pm (0.2544, 0.2544, 0.7480)
Pm (0.4186, 0.0911, 0.2536)
Pm (0.5814, 0.9089, 0.7464)
Pm (0.7456, 0.7456, 0.2520)
Pm (0.9089, 0.5814, 0.7464)
Ho (0.1662, 0.8338, 0.5000)
Ho (0.8338, 0.1662, 0.5000)
In (0.5000, 0.5000, 0.5000)

Top 12 peaks for 2θ = 10–80°, by angle:
2θ (°), I (rel.)
30.66, 100.0
30.88, 32.7
35.57, 44.9
35.70, 22.2
51.03, 8.0
51.15, 15.9
51.40, 23.5
60.73, 9.5
60.87, 23.6
61.07, 18.6
63.85, 12.2
75.32, 5.0

---

3.
Starting from the GGA-PBE geometry in Alexandria, the powder X-ray diffraction pattern of PmHoTiIn was calculated for Cu Kα (λ = 1.5418 Å).
Kinematic intensities with the Lorentz-polarization factor, no thermal factor.

Cell and atoms:
abc: 5.3015 5.3015 5.3015
angles: 60.00 60.00 60.00
Element x y z (fractional)
Pm (0.0000, 0.0000, 0.0000)
Ho (0.5000, 0.5000, 0.5000)
Ti (0.2500, 0.2500, 0.2500)
In (0.7500, 0.7500, 0.7500)

Top 12 peaks for 2θ = 10–80°, by angle:
2θ (°), I (rel.)
20.52, 5.0
23.73, 11.2
33.82, 100.0
39.88, 2.9
41.73, 3.6
48.57, 17.8
53.26, 1.3
54.75, 5.1
60.49, 36.5
64.59, 1.0
71.13, 11.2
76.19, 2.5

---

4.
Starting from the GGA-PBE geometry in Alexandria, the powder X-ray diffraction pattern of Pm2HoTm5In was calculated for Cu Kα (λ = 1.5418 Å).
Kinematic intensities with the Lorentz-polarization factor, no thermal factor.

Cell and atoms:
abc: 10.5281 10.5281 10.3302
angles: 90.00 90.00 150.98
Element x y z (fractional)
Pm (0.1166, 0.8834, 0.5351)
Pm (0.1166, 0.8834, 0.9649)
Pm (0.8834, 0.1166, 0.0351)
Pm (0.8834, 0.1166, 0.4649)
Ho (0.2109, 0.7891, 0.2500)
Ho (0.7891, 0.2109, 0.7500)
Tm (0.0082, 0.9918, 0.2500)
Tm (0.2871, 0.7129, 0.5546)
Tm (0.2871, 0.7129, 0.9454)
Tm (0.3829, 0.6171, 0.2500)
Tm (0.5000, 0.5000, 0.0000)
Tm (0.5000, 0.5000, 0.5000)
Tm (0.6171, 0.3829, 0.7500)
Tm (0.7129, 0.2871, 0.0546)
Tm (0.7129, 0.2871, 0.4454)
Tm (0.9918, 0.0082, 0.7500)
In (0.4032, 0.5968, 0.7500)
In (0.5968, 0.4032, 0.2500)

Top 12 peaks for 2θ = 10–80°, by angle:
2θ (°), I (rel.)
27.50, 12.5
27.64, 13.8
31.33, 30.3
32.73, 100.0
33.98, 30.7
34.74, 15.6
44.40, 15.3
49.38, 11.5
51.79, 7.5
57.10, 7.6
60.03, 17.7
63.40, 8.6

---

5.
Starting from the GGA-PBE geometry in Alexandria, the powder X-ray diffraction pattern of Pr15Ho2In2 was calculated for Cu Kα (λ = 1.5418 Å).
Kinematic intensities with the Lorentz-polarization factor, no thermal factor.

Cell and atoms:
abc: 8.8682 8.8682 8.8682
angles: 77.62 77.62 77.62
Element x y z (fractional)
Pr (0.0000, 0.0000, 0.5000)
Pr (0.0000, 0.2898, 0.7102)
Pr (0.0000, 0.5000, 0.0000)
Pr (0.0000, 0.7102, 0.2898)
Pr (0.1669, 0.6075, 0.6075)
Pr (0.2898, 0.0000, 0.7102)
Pr (0.2898, 0.7102, 0.0000)
Pr (0.3925, 0.3925, 0.8331)
Pr (0.3925, 0.8331, 0.3925)
Pr (0.5000, 0.0000, 0.0000)
Pr (0.6075, 0.1669, 0.6075)
Pr (0.6075, 0.6075, 0.1669)
Pr (0.7102, 0.0000, 0.2898)
Pr (0.7102, 0.2898, 0.0000)
Pr (0.8331, 0.3925, 0.3925)
Ho (0.3002, 0.3002, 0.3002)
Ho (0.6998, 0.6998, 0.6998)
In (0.0962, 0.0962, 0.0962)
In (0.9038, 0.9038, 0.9038)

Top 12 peaks for 2θ = 10–80°, by angle:
2θ (°), I (rel.)
26.35, 47.5
26.84, 20.1
27.80, 24.7
29.18, 19.1
30.62, 96.8
31.48, 100.0
32.21, 51.3
33.43, 22.3
35.48, 53.3
48.07, 15.3
56.45, 24.8
58.54, 18.5

---

6.
Starting from the GGA-PBE geometry in Alexandria, the powder X-ray diffraction pattern of Pr14HoIn was calculated for Cu Kα (λ = 1.5418 Å).
Kinematic intensities with the Lorentz-polarization factor, no thermal factor.

Cell and atoms:
abc: 7.3086 7.3086 10.4016
angles: 90.00 90.00 90.00
Element x y z (fractional)
Pr (0.0000, 0.0000, 0.0000)
Pr (0.0000, 0.5000, 0.0000)
Pr (0.0000, 0.5000, 0.5000)
Pr (0.2479, 0.2479, 0.2561)
Pr (0.2479, 0.2479, 0.7439)
Pr (0.2479, 0.7521, 0.2561)
Pr (0.2479, 0.7521, 0.7439)
Pr (0.5000, 0.0000, 0.0000)
Pr (0.5000, 0.0000, 0.5000)
Pr (0.5000, 0.5000, 0.0000)
Pr (0.7521, 0.2479, 0.2561)
Pr (0.7521, 0.2479, 0.7439)
Pr (0.7521, 0.7521, 0.2561)
Pr (0.7521, 0.7521, 0.7439)
Ho (0.5000, 0.5000, 0.5000)
In (0.0000, 0.0000, 0.5000)

Top 10 peaks for 2θ = 10–80°, by angle:
2θ (°), I (rel.)
29.88, 100.0
34.49, 17.0
34.72, 33.7
49.74, 24.0
49.91, 12.0
58.97, 14.2
59.27, 28.5
62.08, 12.3
72.73, 1.9
73.27, 3.8

---

What did the fourth record say?
Starting from the GGA-PBE geometry in Alexandria, the powder X-ray diffraction pattern of Pm2HoTm5In was calculated for Cu Kα (λ = 1.5418 Å).
Kinematic intensities with the Lorentz-polarization factor, no thermal factor.

Cell and atoms:
abc: 10.5281 10.5281 10.3302
angles: 90.00 90.00 150.98
Element x y z (fractional)
Pm (0.1166, 0.8834, 0.5351)
Pm (0.1166, 0.8834, 0.9649)
Pm (0.8834, 0.1166, 0.0351)
Pm (0.8834, 0.1166, 0.4649)
Ho (0.2109, 0.7891, 0.2500)
Ho (0.7891, 0.2109, 0.7500)
Tm (0.0082, 0.9918, 0.2500)
Tm (0.2871, 0.7129, 0.5546)
Tm (0.2871, 0.7129, 0.9454)
Tm (0.3829, 0.6171, 0.2500)
Tm (0.5000, 0.5000, 0.0000)
Tm (0.5000, 0.5000, 0.5000)
Tm (0.6171, 0.3829, 0.7500)
Tm (0.7129, 0.2871, 0.0546)
Tm (0.7129, 0.2871, 0.4454)
Tm (0.9918, 0.0082, 0.7500)
In (0.4032, 0.5968, 0.7500)
In (0.5968, 0.4032, 0.2500)

Top 12 peaks for 2θ = 10–80°, by angle:
2θ (°), I (rel.)
27.50, 12.5
27.64, 13.8
31.33, 30.3
32.73, 100.0
33.98, 30.7
34.74, 15.6
44.40, 15.3
49.38, 11.5
51.79, 7.5
57.10, 7.6
60.03, 17.7
63.40, 8.6

---

Please write out number 6 again, unchanged.
Starting from the GGA-PBE geometry in Alexandria, the powder X-ray diffraction pattern of Pr14HoIn was calculated for Cu Kα (λ = 1.5418 Å).
Kinematic intensities with the Lorentz-polarization factor, no thermal factor.

Cell and atoms:
abc: 7.3086 7.3086 10.4016
angles: 90.00 90.00 90.00
Element x y z (fractional)
Pr (0.0000, 0.0000, 0.0000)
Pr (0.0000, 0.5000, 0.0000)
Pr (0.0000, 0.5000, 0.5000)
Pr (0.2479, 0.2479, 0.2561)
Pr (0.2479, 0.2479, 0.7439)
Pr (0.2479, 0.7521, 0.2561)
Pr (0.2479, 0.7521, 0.7439)
Pr (0.5000, 0.0000, 0.0000)
Pr (0.5000, 0.0000, 0.5000)
Pr (0.5000, 0.5000, 0.0000)
Pr (0.7521, 0.2479, 0.2561)
Pr (0.7521, 0.2479, 0.7439)
Pr (0.7521, 0.7521, 0.2561)
Pr (0.7521, 0.7521, 0.7439)
Ho (0.5000, 0.5000, 0.5000)
In (0.0000, 0.0000, 0.5000)

Top 10 peaks for 2θ = 10–80°, by angle:
2θ (°), I (rel.)
29.88, 100.0
34.49, 17.0
34.72, 33.7
49.74, 24.0
49.91, 12.0
58.97, 14.2
59.27, 28.5
62.08, 12.3
72.73, 1.9
73.27, 3.8